Record 1
CeSbAu: computed powder diffractogram (Cu Kα, 1.54184 Å), based on a structure optimized by DFT (GGA-PBE).

Structural model:
```
data_CeSbAu
_chemical_formula_sum 'Ce4 Sb4 Au4'
_symmetry_space_group_name_H-M 'P 63/m m c'
_symmetry_Int_Tables_number 194
_symmetry_space_group_name_Hall '-P 6c 2c'
_cell_length_a 4.6839
_cell_length_b 4.6839
_cell_length_c 16.5147
_cell_angle_alpha 90.00
_cell_angle_beta 90.00
_cell_angle_gamma 120.00
loop_
_atom_site_label
_atom_site_type_symbol
_atom_site_fract_x
_atom_site_fract_y
_atom_site_fract_z
Ce1 Ce 0.0000 0.0000 0.0000
Ce2 Ce 0.0000 0.0000 0.2500
Sb1 Sb 0.3333 0.6667 0.1114
Au1 Au 0.3333 0.6667 0.6594
```

The 8 most intense peaks (2θ = 10–90°), low angle first:
| d (Å) | 2θ (°) | Rel. int. | index |
| --- | --- | --- | --- |
| 3.939 | 22.57 | 18 | 1 0 1 |
| 2.894 | 30.90 | 100 | 1 0 4 |
| 2.561 | 35.03 | 17 | 1 0 5 |
| 2.342 | 38.44 | 86 | 1 1 0 |
| 2.039 | 44.43 | 32 | 1 0 7 |
| 1.820 | 50.11 | 26 | 2 0 4 |
| 1.437 | 64.88 | 24 | 2 1 4 |
| 1.352 | 69.52 | 15 | 3 0 0 |

***

Record 2
Ti4Si7Ni4: computed powder diffractogram (Cu Kα, 1.54184 Å), based on a structure optimized by DFT (GGA-PBE).

Structural model:
```
data_Ti4Si7Ni4
_chemical_formula_sum 'Ti16 Si28 Ni16'
_symmetry_space_group_name_H-M 'I 4/m m m'
_symmetry_Int_Tables_number 139
_symmetry_space_group_name_Hall '-I 4 2'
_cell_length_a 12.574
_cell_length_b 12.574
_cell_length_c 4.951
_cell_angle_alpha 90.00
_cell_angle_beta 90.00
_cell_angle_gamma 90.00
loop_
_atom_site_label
_atom_site_type_symbol
_atom_site_fract_x
_atom_site_fract_y
_atom_site_fract_z
Ti1 Ti 0.000 0.190 0.000
Ti2 Ti 0.134 0.134 0.500
Si1 Si 0.000 0.000 0.251
Si2 Si 0.000 0.288 0.500
Si3 Si 0.000 0.407 0.000
Si4 Si 0.204 0.204 0.000
Ni1 Ni 0.149 0.351 0.250
```

The 8 most intense peaks (2θ = 10–90°), low angle first:
| d (Å) | 2θ (°) | Rel. int. | index |
| --- | --- | --- | --- |
| 3.143 | 28.39 | 23 | 4 0 0 |
| 2.242 | 40.22 | 100 | 5 0 1 |
| 2.223 | 40.59 | 36 | 4 4 0 |
| 2.101 | 43.04 | 94 | 3 1 2 |
| 2.096 | 43.17 | 45 | 6 0 0 |
| 1.945 | 46.71 | 25 | 4 0 2 |
| 1.900 | 47.88 | 32 | 3 3 2 |
| 1.374 | 68.29 | 25 | 7 3 2 |

***

Record 3
K2Te3: computed powder diffractogram (Cu Kα, 1.54184 Å), based on a structure optimized by DFT (GGA-PBE).

Structural model:
```
data_K2Te3
_chemical_formula_sum 'K8 Te12'
_symmetry_space_group_name_H-M 'P n m a'
_symmetry_Int_Tables_number 62
_cell_length_a 16.043
_cell_length_b 10.412
_cell_length_c 4.617
_cell_angle_alpha 90.00
_cell_angle_beta 90.00
_cell_angle_gamma 90.00
loop_
_symmetry_equiv_pos_as_xyz
'x,y,z'
'-x,-y,-z'
'-x+1/2,-y,z+1/2'
'x+1/2,y,-z+1/2'
'x+1/2,-y+1/2,-z+1/2'
'-x+1/2,y+1/2,z+1/2'
'-x,y+1/2,-z'
'x,-y+1/2,z'
loop_
_atom_site_label
_atom_site_type_symbol
_atom_site_fract_x
_atom_site_fract_y
_atom_site_fract_z
K1 K 0.123 0.028 0.224
Te1 Te 0.017 0.250 0.696
Te2 Te 0.123 0.750 0.697
Te3 Te 0.239 0.250 0.795
```

The 8 most intense peaks (2θ = 10–90°), low angle first:
| d (Å) | 2θ (°) | Rel. int. | index |
| --- | --- | --- | --- |
| 5.206 | 17.03 | 73 | 0 2 0 |
| 3.180 | 28.06 | 25 | 4 2 0 |
| 3.173 | 28.13 | 57 | 2 2 1 |
| 2.907 | 30.75 | 100 | 4 1 1 |
| 2.603 | 34.46 | 28 | 0 4 0 |
| 2.282 | 39.50 | 36 | 4 3 1 |
| 2.118 | 42.68 | 18 | 6 3 0 |
| 1.716 | 53.40 | 26 | 4 5 1 |

***

Record 4
ZrCrAgS4: computed powder diffractogram (Cu Kα, 1.54184 Å), based on a structure optimized by DFT (GGA-PBE).

Structural model:
```
data_ZrCrAgS4
_chemical_formula_sum 'Zr4 Cr4 Ag4 S16'
_symmetry_space_group_name_H-M 'P 1'
_symmetry_Int_Tables_number 1
_cell_length_a 6.657
_cell_length_b 7.769
_cell_length_c 12.907
_cell_angle_alpha 81.87
_cell_angle_beta 85.57
_cell_angle_gamma 89.81
loop_
_symmetry_equiv_pos_as_xyz
'x,y,z'
loop_
_atom_site_label
_atom_site_type_symbol
_atom_site_fract_x
_atom_site_fract_y
_atom_site_fract_z
Zr1 Zr 0.000 0.000 0.000
Zr2 Zr 0.097 0.181 0.307
Zr3 Zr 0.480 0.760 0.000
Zr4 Zr 0.873 0.337 0.697
Cr1 Cr 0.394 0.592 0.703
Cr2 Cr 0.601 0.439 0.296
Cr3 Cr 0.606 0.934 0.296
Cr4 Cr 0.868 0.830 0.701
Ag1 Ag 0.119 0.684 0.308
Ag2 Ag 0.374 0.085 0.696
Ag3 Ag 0.492 0.272 0.000
Ag4 Ag 0.984 0.522 0.000
S1 S 0.025 0.089 0.625
S2 S 0.072 0.613 0.641
S3 S 0.118 0.223 0.118
S4 S 0.147 0.742 0.108
S5 S 0.335 0.029 0.896
S6 S 0.357 0.554 0.877
S7 S 0.451 0.172 0.360
S8 S 0.474 0.672 0.359
S9 S 0.540 0.371 0.628
S10 S 0.566 0.828 0.637
S11 S 0.620 0.493 0.122
S12 S 0.652 0.961 0.116
S13 S 0.823 0.810 0.882
S14 S 0.855 0.281 0.887
S15 S 0.903 0.418 0.370
S16 S 0.903 0.920 0.375
```

The 8 most intense peaks (2θ = 10–90°), low angle first:
| d (Å) | 2θ (°) | Rel. int. | index |
| --- | --- | --- | --- |
| 4.246 | 20.92 | 100 | 0 0 3 |
| 3.341 | 26.68 | 37 | 1 -2 0 |
| 3.318 | 26.87 | 29 | 2 0 0 |
| 3.161 | 28.23 | 63 | 1 -2 1 |
| 3.152 | 28.31 | 32 | 2 0 -1 |
| 2.765 | 32.38 | 26 | 1 2 -2 |
| 2.213 | 40.76 | 30 | 2 0 -4 |
| 1.942 | 46.77 | 26 | 0 4 1 |